No. 1
# LiCa8In2
Computed PXRD pattern, Cu Kα, 1.54184 Å. Input: a crystal structure in Alexandria, relaxed with PBE.
Neutral-atom scattering factors, no anomalous dispersion.

Unit cell a=9.188 b=9.188 c=9.188 alpha=145.39 beta=119.08 gamma=71.99
Sites, in units of the cell vectors:
Li  0.000  0.000  0.000
Ca  0.131  0.841  0.290
Ca  0.137  0.637  0.500
Ca  0.323  0.500  0.823
Ca  0.450  0.159  0.290
Ca  0.550  0.841  0.710
Ca  0.677  0.500  0.177
Ca  0.863  0.363  0.500
Ca  0.869  0.159  0.710
In  0.298  0.298  0.000
In  0.702  0.702  0.000

Main lines, in order of falling intensity (2θ = 5–70°):
d [Å]  2θ (°)  Rel. int.
2.883  31.0  100
7.434  11.9  38
2.733  32.8  34
2.538  35.4  31
2.919  30.6  27
2.833  31.6  22
1.967  46.2  20
3.947  22.5  19
4.714  18.8  17
3.449  25.8  17

***

No. 2
# CrNi4H8
Computed PXRD pattern, Cu Kα, 1.54184 Å. Input: a crystal structure in Alexandria, relaxed with PBE.
Neutral-atom scattering factors, no anomalous dispersion.

Unit cell a=5.028 b=5.028 c=9.887 alpha=90.00 beta=90.00 gamma=120.00
Sites, in units of the cell vectors:
Cr  0.000  0.000  0.000
Cr  0.000  0.000  0.500
Ni  0.000  0.000  0.250
Ni  0.000  0.000  0.750
Ni  0.000  0.500  0.250
Ni  0.000  0.500  0.750
Ni  0.500  0.000  0.250
Ni  0.500  0.000  0.750
Ni  0.500  0.500  0.250
Ni  0.500  0.500  0.750
H  0.166  0.332  0.150
H  0.166  0.332  0.350
H  0.166  0.834  0.150
H  0.166  0.834  0.350
H  0.332  0.166  0.650
H  0.332  0.166  0.850
H  0.333  0.667  0.658
H  0.333  0.667  0.842
H  0.667  0.333  0.158
H  0.667  0.333  0.342
H  0.668  0.834  0.150
H  0.668  0.834  0.350
H  0.834  0.166  0.650
H  0.834  0.166  0.850
H  0.834  0.668  0.650
H  0.834  0.668  0.850

Main lines, in order of falling intensity (2θ = 5–70°):
d [Å]  2θ (°)  Rel. int.
4.944  17.9  100
2.177  41.5  72
1.634  56.3  58
1.992  45.5  49
2.472  36.3  35
4.354  20.4  15
3.268  27.3  14
1.647  55.8  6
2.241  40.2  5
2.150  42.0  4

***

No. 3
# BeCrCoP
Computed PXRD pattern, Cu Kα, 1.54184 Å. Input: a crystal structure in Alexandria, relaxed with PBE.
Neutral-atom scattering factors, no anomalous dispersion.

Unit cell a=3.417 b=4.244 c=4.244 alpha=42.25 beta=90.00 gamma=90.00
Sites, in units of the cell vectors:
Be  0.000  0.000  0.000
Cr  0.500  0.553  0.553
Co  0.000  0.279  0.279
P  0.500  0.833  0.833

Main lines, in order of falling intensity (2θ = 5–70°):
d [Å]  2θ (°)  Rel. int.
2.190  41.2  100
2.587  34.7  49
1.725  53.1  36
1.998  45.4  31
1.980  45.8  25
1.708  53.7  21
2.854  31.3  18
1.530  60.5  14
3.959  22.5  9
1.713  53.5  8